No. 1
# Pr7Sc
Simulated powder diffractogram, copper Kα. Input: a GGA-PBE-relaxed structure.
Peak positions follow from Bragg's law for the DFT cell and can differ from measured ones.

Cell and atoms:
```
Pr7Sc
1.0
-1.7922 5.7124 6.7366
1.7922 -5.7124 6.7366
1.7922 5.7124 -6.7366
Pr Sc
7 1
Cartesian
0.0000 0.0000 0.0000 Pr
1.7922 2.7830 -1.7149 Pr
0.0000 0.0000 3.4922 Pr
1.7922 2.7830 1.7149 Pr
0.0000 2.9294 5.0217 Pr
0.0000 0.0000 9.9810 Pr
0.0000 2.9294 8.4514 Pr
0.0000 5.7124 0.0000 Sc
```

Main lines, sorted by position (2θ from 10° to 90°):
d/Å  Rel. int.
3.420  17.9
2.962  61.6
2.902  100.0
2.856  46.5
2.802  35.5
2.400  16.9
2.000  26.3
1.658  17.9
1.626  17.5
1.525  28.6

---

No. 2
# PrSc6
Simulated powder diffractogram, copper Kα. Input: a GGA-PBE-relaxed structure.
Peak positions follow from Bragg's law for the DFT cell and can differ from measured ones.

Cell and atoms:
```
PrSc6
1.0
6.0807 0.0000 0.0000
0.0000 6.0807 0.0000
0.0000 0.0000 10.3091
Pr Sc
2 12
Cartesian
1.5202 4.5605 0.0000 Pr
4.5605 1.5202 0.0000 Pr
0.4965 3.5368 3.7727 Sc
0.4965 5.5842 6.5364 Sc
1.5202 1.5202 1.5141 Sc
1.5202 1.5202 8.7950 Sc
2.5438 3.5368 6.5364 Sc
2.5438 5.5842 3.7727 Sc
3.5368 0.4965 6.5364 Sc
3.5368 2.5438 3.7727 Sc
4.5605 4.5605 1.5141 Sc
4.5605 4.5605 8.7950 Sc
5.5842 0.4965 3.7727 Sc
5.5842 2.5438 6.5364 Sc
```

Main lines, sorted by position (2θ from 10° to 90°):
d/Å  Rel. int.
3.436  24.4
3.302  54.0
2.916  100.0
2.684  81.0
2.629  22.4
2.405  30.2
2.211  21.0
2.150  24.0
1.802  22.2
1.541  37.3

---

No. 3
# Pr2ScTe2Se2
Simulated powder diffractogram, copper Kα. Input: a GGA-PBE-relaxed structure.
Peak positions follow from Bragg's law for the DFT cell and can differ from measured ones.

Cell and atoms:
```
Pr2ScTe2Se2
1.0
-2.5157 2.5157 8.1429
2.5157 -2.5157 8.1429
2.5157 2.5157 -8.1429
Pr Sc Te Se
2 1 2 2
Cartesian
0.0000 0.0000 2.0186 Pr
0.0000 0.0000 14.2672 Pr
0.0000 0.0000 8.1429 Sc
0.0000 0.0000 5.1986 Te
0.0000 0.0000 11.0872 Te
2.5157 0.0000 0.0000 Se
0.0000 2.5157 0.0000 Se
```

Main lines, sorted by position (2θ from 10° to 90°):
d/Å  Rel. int.
3.558  81.2
3.260  54.8
2.734  97.1
2.714  18.9
2.679  85.3
2.516  100.0
1.851  60.9
1.845  23.7
1.779  34.9
1.482  27.8

---

Copy entry 2 word for word.
# PrSc6
Simulated powder diffractogram, copper Kα. Input: a GGA-PBE-relaxed structure.
Peak positions follow from Bragg's law for the DFT cell and can differ from measured ones.

Cell and atoms:
```
PrSc6
1.0
6.0807 0.0000 0.0000
0.0000 6.0807 0.0000
0.0000 0.0000 10.3091
Pr Sc
2 12
Cartesian
1.5202 4.5605 0.0000 Pr
4.5605 1.5202 0.0000 Pr
0.4965 3.5368 3.7727 Sc
0.4965 5.5842 6.5364 Sc
1.5202 1.5202 1.5141 Sc
1.5202 1.5202 8.7950 Sc
2.5438 3.5368 6.5364 Sc
2.5438 5.5842 3.7727 Sc
3.5368 0.4965 6.5364 Sc
3.5368 2.5438 3.7727 Sc
4.5605 4.5605 1.5141 Sc
4.5605 4.5605 8.7950 Sc
5.5842 0.4965 3.7727 Sc
5.5842 2.5438 6.5364 Sc
```

Main lines, sorted by position (2θ from 10° to 90°):
d/Å  Rel. int.
3.436  24.4
3.302  54.0
2.916  100.0
2.684  81.0
2.629  22.4
2.405  30.2
2.211  21.0
2.150  24.0
1.802  22.2
1.541  37.3